Starting from the PBE+U geometry in Alexandria, the powder XRD pattern of LiV3O8 was computed for a wavelength of 1.5418 Å.

Most intense lines, 15 to 90 degrees two-theta, by intensity:
d/Å	I/Imax	(hkl)
3.184	100	1 1 0
2.929	38	1 0 -4
2.243	31	2 0 3
2.167	29	2 0 -5
1.816	27	0 2 0
3.844	26	0 0 3
3.310	25	2 0 0
1.543	16	1 2 -4

a = 6.844 Å, b = 3.632 Å, c = 11.920 Å
α = 90.00°, β = 104.68°, γ = 90.00°
Space group P2_1/m (No. 11)
Symmetry-distinct sites (fractional):
Li: 0.187 0.250 0.186 x2
V: 0.125 0.750 0.418 x2
V: 0.265 0.750 0.692 x2
V: 0.307 0.750 0.962 x2
O: 0.049 0.250 0.427 x2
O: 0.129 0.750 0.826 x2
O: 0.181 0.250 0.674 x2
O: 0.181 0.750 0.062 x2
O: 0.231 0.750 0.309 x2
O: 0.325 0.750 0.547 x2
O: 0.393 0.250 0.960 x2
O: 0.495 0.750 0.778 x2